(1)
Theoretical X-ray powder pattern
Compound: Dy2Ho9Er3
Radiation: copper Kα
Structure: a structure optimized by DFT (PBE)
Peak positions follow from Bragg's law for the DFT cell and can differ from measured ones.

Structure:
```
14
Lattice="6.377 0.000 0.000 2.717 7.878 0.000 1.154 0.017 8.659" Properties=species:S:1:pos:R:3 pbc="T T T"
Dy 0.000 0.000 0.000
Dy 2.840 5.117 1.694
Ho 2.533 3.296 7.965
Ho 1.935 1.620 2.228
Ho 4.736 6.726 4.140
Ho 3.773 3.245 4.562
Ho 5.616 4.856 7.049
Ho 6.052 6.279 0.927
Ho 5.175 0.037 3.416
Ho 7.022 1.655 5.722
Ho 8.827 6.047 6.269
Er 3.893 0.458 6.779
Er 5.066 2.835 1.229
Er 6.942 4.429 3.835
```

Principal peaks in the range 2θ = 10–90°, sorted by position:
d [Å], I_rel
2.916, 31
2.829, 31
2.792, 100
2.736, 29
2.725, 60
2.712, 16
2.671, 17
1.902, 17
1.625, 13
1.586, 18

(2)
Theoretical X-ray powder pattern
Compound: Na3Tl5In2
Radiation: copper Kα
Structure: a structure optimized by DFT (PBE)
Peak positions follow from Bragg's law for the DFT cell and can differ from measured ones.

Structure:
```
20
Lattice="-6.630 7.183 3.410 6.630 -7.183 3.410 6.630 7.183 -3.410" Properties=species:S:1:pos:R:3 pbc="T T T"
Na 8.204 3.502 0.000
Na 0.000 0.000 1.705
Na 1.574 3.681 0.000
Na 5.056 3.502 3.410
Na 0.000 0.000 5.114
Na -1.574 3.681 3.410
Tl 4.800 2.112 0.000
Tl 3.456 7.183 -1.705
Tl 3.173 0.000 1.705
Tl 6.630 0.000 1.705
Tl 4.800 -2.112 3.410
Tl 1.830 9.295 0.000
Tl 0.000 7.183 1.705
Tl 3.456 7.183 1.705
Tl 3.173 0.000 5.114
Tl 1.830 5.072 3.410
In 5.000 -5.042 3.410
In 5.000 5.042 0.000
In 1.630 2.141 3.410
In 1.630 12.226 0.000
```

Principal peaks in the range 2θ = 10–90°, sorted by position:
d [Å], I_rel
7.183, 52
4.513, 100
3.080, 69
3.010, 61
2.473, 64
2.459, 47
2.436, 58
2.394, 26
2.377, 75
1.687, 35

(3)
Theoretical X-ray powder pattern
Compound: Nd6TmIn6
Radiation: copper Kα
Structure: a structure optimized by DFT (PBE)
Peak positions follow from Bragg's law for the DFT cell and can differ from measured ones.

Structure:
```
13
Lattice="6.398 0.000 0.000 -3.199 5.541 0.000 0.000 0.000 11.083" Properties=species:S:1:pos:R:3 pbc="T T T"
Nd 0.000 0.000 1.886
Nd 0.000 0.000 9.197
Nd 0.000 3.694 0.000
Nd 0.000 3.694 5.541
Nd 3.199 1.847 0.000
Nd 3.199 1.847 5.541
Tm 0.000 0.000 5.541
In -1.600 2.770 2.807
In -1.600 2.770 8.276
In 3.199 0.000 2.807
In 3.199 0.000 8.276
In 1.600 2.770 2.807
In 1.600 2.770 8.276
```

Principal peaks in the range 2θ = 10–90°, sorted by position:
d [Å], I_rel
3.199, 35
3.074, 22
2.771, 100
2.478, 64
2.418, 11
1.752, 16
1.600, 44
1.385, 23
1.344, 13
1.306, 11

Q: What is the formula in the first record?
A: Dy2Ho9Er3